Starting from a DFT-relaxed cell (GGA-PBE, Alexandria), the powder XRD pattern of Li2HfGa was calculated for CuKα.

Main lines, in order of rising 2θ (2θ from 10° to 90°):
2θ (°)	intensity
16.90	100.0
34.18	20.7
36.18	51.7
37.56	42.7
42.68	31.4
46.22	27.0
54.77	14.9
59.68	10.8
66.89	15.3
74.75	12.8

Cell: 10.6255 10.6255 10.6255 Å, 15.70 15.70 15.70°
Sites, in units of the cell vectors:
Li 0.0923 0.0923 0.0923
Li 0.9077 0.9077 0.9077
Hf 0.0000 0.0000 0.0000
Ga 0.5000 0.5000 0.5000

Starting from a DFT-relaxed cell (GGA-PBE, Alexandria), the powder XRD pattern of CdAg2S2 was calculated for CuKα.

Main lines, in order of rising 2θ (2θ from 10° to 90°):
2θ (°)	intensity
19.72	22.9
23.54	89.7
28.03	58.5
32.54	100.0
40.05	48.9
46.98	26.6
48.59	39.4
52.52	48.8
57.93	15.5
78.91	18.0

Cell: 4.5025 4.5025 6.9519 Å, 90.00 90.00 90.00°
Sites, in units of the cell vectors:
Cd 0.0000 0.0000 0.0000
Ag 0.5000 0.5000 0.2965
Ag 0.5000 0.5000 0.7035
S 0.0000 0.5000 0.8070
S 0.5000 0.0000 0.1930

Starting from a DFT-relaxed cell (GGA-PBE, Alexandria), the powder XRD pattern of Nd4RuO7 was calculated for CuKα.

Main lines, in order of rising 2θ (2θ from 10° to 90°):
2θ (°)	intensity
29.32	37.2
29.59	58.9
30.38	100.0
31.20	62.5
43.38	19.6
44.95	22.5
46.01	23.9
52.46	20.5
54.04	24.7
55.65	19.9

Cell: 6.9405 6.9405 9.4062 Å, 130.48 130.48 33.03°
Sites, in units of the cell vectors:
Nd 0.0879 0.0879 0.3975
Nd 0.2500 0.2500 0.1613
Nd 0.7500 0.7500 0.8387
Nd 0.9121 0.9121 0.6025
Ru 0.5000 0.5000 0.0000
O 0.0000 0.0000 0.0000
O 0.1267 0.1267 0.6890
O 0.2972 0.2972 0.4459
O 0.4022 0.4022 0.0978
O 0.5978 0.5978 0.9022
O 0.7028 0.7028 0.5541
O 0.8733 0.8733 0.3110

Starting from a DFT-relaxed cell (GGA-PBE, Alexandria), the powder XRD pattern of TbCu6Pd6 was calculated for CuKα.

Main lines, in order of rising 2θ (2θ from 10° to 90°):
2θ (°)	intensity
35.28	20.6
35.97	78.2
40.70	30.0
41.18	36.8
41.51	100.0
41.77	40.8
46.01	23.0
46.74	49.7
74.63	33.4
76.26	25.9

Cell: 6.6767 6.6767 6.6767 Å, 136.05 99.31 96.79°
Sites, in units of the cell vectors:
Tb 0.0000 0.0000 0.0000
Cu 0.0000 0.0000 0.5000
Cu 0.0000 0.5000 0.0000
Cu 0.2373 0.7373 0.5000
Cu 0.5000 0.0000 0.0000
Cu 0.5000 0.5000 0.5000
Cu 0.7627 0.2627 0.5000
Pd 0.1890 0.5000 0.6890
Pd 0.3424 0.0000 0.3424
Pd 0.3470 0.3470 0.0000
Pd 0.6530 0.6530 0.0000
Pd 0.6576 0.0000 0.6576
Pd 0.8110 0.5000 0.3110

Starting from a DFT-relaxed cell (GGA-PBE, Alexandria), the powder XRD pattern of Th2ZnS was calculated for CuKα.

Main lines, in order of rising 2θ (2θ from 10° to 90°):
2θ (°)	intensity
21.19	54.2
27.67	71.3
28.36	64.9
32.80	100.0
37.30	92.3
43.14	22.5
48.51	51.7
53.50	30.5
66.92	39.1
77.87	21.0

Cell: 8.6624 8.6624 8.6624 Å, 25.02 25.02 25.02°
Sites, in units of the cell vectors:
Th 0.0000 0.0000 0.0000
Th 0.1589 0.1589 0.1589
Zn 0.5797 0.5797 0.5797
S 0.7461 0.7461 0.7461

Starting from a DFT-relaxed cell (GGA-PBE, Alexandria), the powder XRD pattern of KPmSn2I8 was calculated for CuKα.

Main lines, in order of rising 2θ (2θ from 10° to 90°):
2θ (°)	intensity
16.38	38.4
24.75	100.0
24.95	83.0
25.58	48.4
25.97	58.9
32.54	76.8
32.85	59.7
37.36	43.4
39.27	76.4
43.15	40.4

Cell: 7.3614 7.8303 9.6287 Å, 89.98 89.95 88.98°
Sites, in units of the cell vectors:
K 0.0000 0.0000 0.0000
Pm 0.0000 0.0000 0.5000
Sn 0.4999 0.5002 0.2476
Sn 0.5001 0.4998 0.7524
I 0.2411 0.3292 0.5001
I 0.2521 0.8417 0.7267
I 0.2526 0.8424 0.2730
I 0.2701 0.3660 0.0003
I 0.7299 0.6340 0.9997
I 0.7474 0.1576 0.7270
I 0.7479 0.1583 0.2733
I 0.7589 0.6708 0.4999